Entry 1:
Calculated X-ray powder pattern of Tm3AgIr2 for Cu Kα, from a GGA-PBE-relaxed structure.

Peak list (10 most intense, 10° ≤ 2θ ≤ 90°, most intense first)
2.407 Å, rel. 100; 2.489 Å, rel. 28; 2.472 Å, rel. 28; 1.754 Å, rel. 20; 1.421 Å, rel. 19; 1.414 Å, rel. 17; 1.203 Å, rel. 11; 1.377 Å, rel. 9; 1.375 Å, rel. 8; 1.103 Å, rel. 8

Cell and atoms:
```
Tm3AgIr2
1.0
2.4894 -7.4173 0.0000
2.4894 7.4173 0.0000
0.0000 0.0000 3.3075
Tm Ag Ir
3 1 2
Direct
0.0000 0.0000 0.0000
0.3249 0.6751 0.0000
0.6751 0.3249 0.0000
0.5000 0.5000 0.5000
0.1633 0.8367 0.5000
0.8367 0.1633 0.5000
```

Entry 2:
Calculated X-ray powder pattern of CePm5Al3 for Cu Kα, from a GGA-PBE-relaxed structure.

Peak list (10 most intense, 10° ≤ 2θ ≤ 90°, most intense first)
2.730 Å, rel. 100; 2.679 Å, rel. 90; 3.825 Å, rel. 47; 1.557 Å, rel. 36; 1.912 Å, rel. 35; 1.428 Å, rel. 26; 1.547 Å, rel. 17; 1.203 Å, rel. 15; 1.140 Å, rel. 12; 4.641 Å, rel. 12

Cell and atoms:
```
CePm5Al3
1.0
9.2816 0.0000 0.0000
-4.6408 8.0381 0.0000
0.0000 0.0000 6.7523
Ce Pm Al
2 10 6
Direct
0.0000 0.0000 0.0000
0.0000 0.0000 0.5000
0.0000 0.3276 0.2500
0.0000 0.6724 0.7500
0.3276 0.0000 0.2500
0.3276 0.3276 0.7500
0.3333 0.6667 0.0000
0.3333 0.6667 0.5000
0.6667 0.3333 0.0000
0.6667 0.3333 0.5000
0.6724 0.0000 0.7500
0.6724 0.6724 0.2500
0.0000 0.3364 0.7500
0.0000 0.6636 0.2500
0.3364 0.0000 0.7500
0.3364 0.3364 0.2500
0.6636 0.0000 0.2500
0.6636 0.6636 0.7500
```

Entry 3:
Calculated X-ray powder pattern of Tb5InOs2 for Cu Kα, from a GGA-PBE-relaxed structure.

Peak list (10 most intense, 10° ≤ 2θ ≤ 90°, most intense first)
2.767 Å, rel. 100; 2.463 Å, rel. 55; 2.151 Å, rel. 33; 6.835 Å, rel. 31; 1.378 Å, rel. 21; 2.569 Å, rel. 20; 1.404 Å, rel. 18; 2.904 Å, rel. 12; 1.745 Å, rel. 11; 1.709 Å, rel. 11

Cell and atoms:
```
Tb5InOs2
1.0
-3.8946 3.8946 6.8353
3.8946 -3.8946 6.8353
3.8946 3.8946 -6.8353
Tb In Os
10 2 4
Direct
0.0000 0.0000 0.0000
0.0277 0.5277 0.8190
0.2087 0.0277 0.5000
0.2913 0.7913 0.8190
0.4723 0.2913 0.5000
0.5000 0.5000 0.0000
0.5277 0.7087 0.5000
0.7087 0.2087 0.1810
0.7913 0.9723 0.5000
0.9723 0.4723 0.1810
0.2500 0.2500 0.0000
0.7500 0.7500 0.0000
0.1406 0.3594 0.5000
0.3594 0.8594 0.2189
0.6406 0.1406 0.7811
0.8594 0.6406 0.5000
```

Entry 4:
Calculated X-ray powder pattern of Ta6Cr7 for Cu Kα, from a GGA-PBE-relaxed structure.

Peak list (10 most intense, 10° ≤ 2θ ≤ 90°, most intense first)
2.165 Å, rel. 100; 2.453 Å, rel. 80; 2.319 Å, rel. 56; 1.354 Å, rel. 31; 1.389 Å, rel. 22; 1.226 Å, rel. 17; 2.118 Å, rel. 17; 4.199 Å, rel. 16; 1.416 Å, rel. 15; 4.612 Å, rel. 12

Cell and atoms:
```
Ta6Cr7
1.0
2.4526 1.4160 9.2247
-2.4526 1.4160 9.2247
0.0000 -2.8321 9.2247
Ta Cr
6 7
Direct
0.0478 0.0478 0.0478
0.1499 0.1499 0.1499
0.3327 0.3327 0.3327
0.6673 0.6673 0.6673
0.8501 0.8501 0.8501
0.9522 0.9522 0.9522
0.0900 0.5948 0.5948
0.4052 0.4052 0.9100
0.4052 0.9100 0.4052
0.5000 0.5000 0.5000
0.5948 0.0900 0.5948
0.5948 0.5948 0.0900
0.9100 0.4052 0.4052
```

Entry 5:
Calculated X-ray powder pattern of NaMn3Ge for Cu Kα, from a GGA-PBE-relaxed structure.

Peak list (10 most intense, 10° ≤ 2θ ≤ 90°, most intense first)
2.889 Å, rel. 100; 2.502 Å, rel. 74; 1.769 Å, rel. 49; 1.509 Å, rel. 38; 1.119 Å, rel. 20; 1.445 Å, rel. 16; 1.148 Å, rel. 15; 3.538 Å, rel. 10; 1.251 Å, rel. 7; 2.043 Å, rel. 4

Cell and atoms:
```
NaMn3Ge
1.0
5.0040 0.0000 0.0000
0.0000 5.0040 0.0000
0.0000 0.0000 5.0040
Na Mn Ge
1 3 1
Direct
0.0000 0.0000 0.0000
0.0000 0.0000 0.5000
0.0000 0.5000 0.0000
0.5000 0.0000 0.0000
0.5000 0.5000 0.5000
```

Entry 6:
Calculated X-ray powder pattern of AcYGaSn for Cu Kα, from a GGA-PBE-relaxed structure.

Peak list (10 most intense, 10° ≤ 2θ ≤ 90°, most intense first)
2.736 Å, rel. 100; 1.580 Å, rel. 39; 1.935 Å, rel. 18; 1.224 Å, rel. 17; 4.468 Å, rel. 16; 1.368 Å, rel. 12; 2.333 Å, rel. 10; 3.869 Å, rel. 6; 1.775 Å, rel. 4; 1.117 Å, rel. 4

Cell and atoms:
```
AcYGaSn
1.0
0.0000 3.8691 3.8691
3.8691 0.0000 3.8691
3.8691 3.8691 0.0000
Ac Y Ga Sn
1 1 1 1
Direct
0.0000 0.0000 0.0000
0.5000 0.5000 0.5000
0.7500 0.7500 0.7500
0.2500 0.2500 0.2500
```

Entry 7:
Calculated X-ray powder pattern of Dy6Co2Si for Cu Kα, from a GGA-PBE-relaxed structure.

Peak list (10 most intense, 10° ≤ 2θ ≤ 90°, most intense first)
2.740 Å, rel. 100; 2.517 Å, rel. 70; 2.549 Å, rel. 59; 2.567 Å, rel. 50; 3.362 Å, rel. 40; 3.085 Å, rel. 33; 2.931 Å, rel. 32; 2.174 Å, rel. 30; 1.517 Å, rel. 30; 3.002 Å, rel. 27

Cell and atoms:
```
Dy6Co2Si
1.0
-4.6243 4.7307 4.8963
4.6243 -4.7307 4.8963
4.6243 4.7307 -4.8963
Dy Co Si
12 4 2
Direct
0.0447 0.2390 0.8057
0.1795 0.2782 0.4577
0.1795 0.7218 0.9013
0.3270 0.0137 0.6867
0.3270 0.6403 0.3133
0.4333 0.2390 0.1943
0.5667 0.7610 0.8057
0.6730 0.3597 0.6867
0.6730 0.9863 0.3133
0.8205 0.2782 0.0987
0.8205 0.7218 0.5423
0.9553 0.7610 0.1943
0.1143 0.6143 0.5000
0.3369 0.0000 0.3369
0.6631 0.0000 0.6631
0.8857 0.3857 0.5000
0.0000 0.0000 0.0000
0.5000 0.5000 0.0000
```

Entry 8:
Calculated X-ray powder pattern of Sr2CdIr for Cu Kα, from a GGA-PBE-relaxed structure.

Peak list (10 most intense, 10° ≤ 2θ ≤ 90°, most intense first)
2.727 Å, rel. 100; 2.332 Å, rel. 32; 1.411 Å, rel. 26; 1.681 Å, rel. 23; 2.425 Å, rel. 18; 1.452 Å, rel. 14; 4.204 Å, rel. 14; 1.364 Å, rel. 12; 1.649 Å, rel. 11; 2.657 Å, rel. 4

Cell and atoms:
```
Sr2CdIr
1.0
-2.3324 2.3324 4.8492
2.3324 -2.3324 4.8492
2.3324 2.3324 -4.8492
Sr Cd Ir
2 1 1
Direct
0.0000 0.0000 0.0000
0.7500 0.2500 0.5000
0.2500 0.7500 0.5000
0.5000 0.5000 0.0000
```